Entry 1:
Computed X-ray diffraction stick pattern of Na4ScIn3Si8O24 for λ = 1.5418 Å (Cu Kα), from a crystal structure in Alexandria, relaxed with GGA-PBE.

Largest 12 diffraction maxima, in order of rising 2θ, 10 to 80 degrees two-theta:
2θ 13.31, rel. 73.6; 2θ 19.37, rel. 28.5; 2θ 23.86, rel. 20.1; 2θ 28.69, rel. 100.0; 2θ 29.57, rel. 47.0; 2θ 33.70, rel. 26.9; 2θ 34.60, rel. 35.1; 2θ 34.96, rel. 40.6; 2θ 39.88, rel. 18.4; 2θ 40.76, rel. 21.8; 2θ 41.32, rel. 16.5; 2θ 54.46, rel. 18.3

Structure:
```
Na4ScIn3Si8O24
1.0
6.194 -4.619 0.000
6.194 4.619 0.000
-5.503 0.000 8.421
Na Sc In Si O
4 1 3 8 24
Direct
0.000 0.000 0.000
0.353 0.144 0.747
0.502 0.498 0.500
0.856 0.647 0.253
0.911 0.089 0.500
0.409 0.591 0.000
0.449 0.054 0.251
0.946 0.551 0.749
0.138 0.358 0.458
0.138 0.364 0.043
0.214 0.782 0.707
0.218 0.786 0.293
0.636 0.862 0.957
0.642 0.862 0.542
0.717 0.283 0.209
0.717 0.283 0.791
0.030 0.914 0.335
0.080 0.314 0.578
0.086 0.970 0.665
0.172 0.555 0.212
0.172 0.731 0.832
0.180 0.590 0.538
0.181 0.416 0.918
0.262 0.171 0.075
0.269 0.828 0.168
0.333 0.236 0.428
0.410 0.820 0.462
0.445 0.828 0.788
0.523 0.407 0.822
0.584 0.819 0.082
0.593 0.477 0.178
0.677 0.051 0.713
0.678 0.094 0.038
0.679 0.227 0.333
0.686 0.920 0.422
0.764 0.667 0.572
0.773 0.321 0.667
0.829 0.738 0.925
0.906 0.322 0.962
0.949 0.323 0.287
```

---

Entry 2:
Computed X-ray diffraction stick pattern of BaCuBrO for λ = 1.5418 Å (Cu Kα), from a crystal structure in Alexandria, relaxed with GGA-PBE.

Largest 12 diffraction maxima, in order of rising 2θ, 10 to 80 degrees two-theta:
2θ 12.57, rel. 17.3; 2θ 24.72, rel. 47.2; 2θ 24.98, rel. 100.0; 2θ 28.67, rel. 23.2; 2θ 29.47, rel. 12.9; 2θ 31.88, rel. 20.3; 2θ 37.72, rel. 26.7; 2θ 38.33, rel. 19.4; 2θ 40.96, rel. 19.1; 2θ 41.21, rel. 36.6; 2θ 48.43, rel. 14.8; 2θ 53.79, rel. 13.8

Structure:
```
BaCuBrO
1.0
7.577 0.000 0.000
0.000 4.407 0.000
-2.298 0.000 7.044
Ba Cu Br O
2 2 2 2
Direct
0.000 0.000 0.000
0.500 0.500 0.000
0.050 0.500 0.644
0.550 0.000 0.644
0.434 0.000 0.325
0.934 0.500 0.325
0.136 0.500 0.900
0.636 0.000 0.900
```

---

Entry 3:
Computed X-ray diffraction stick pattern of Ac4TlHgPb2 for λ = 1.5418 Å (Cu Kα), from a crystal structure in Alexandria, relaxed with GGA-PBE.

Largest 5 diffraction maxima, in order of rising 2θ, 10 to 80 degrees two-theta:
2θ 30.64, rel. 100.0; 2θ 43.88, rel. 19.1; 2θ 54.46, rel. 41.1; 2θ 63.79, rel. 12.9; 2θ 72.42, rel. 17.9

Structure:
```
Ac4TlHgPb2
1.0
2.919 1.685 9.526
-2.919 1.685 9.526
0.000 -3.370 9.526
Ac Tl Hg Pb
4 1 1 2
Direct
0.125 0.125 0.125
0.375 0.375 0.375
0.625 0.625 0.625
0.875 0.875 0.875
0.500 0.500 0.500
0.000 0.000 0.000
0.251 0.251 0.251
0.749 0.749 0.749
```